Diffraction record for BaPmPrIn. The powder X-ray diffraction pattern is simulated, not measured: it uses a structure optimized by DFT (GGA-PBE) and Cu Kα (λ = 1.5418 Å).
Neutral-atom scattering factors, no anomalous dispersion.

The 8 most intense peaks (10° ≤ 2θ ≤ 90°), most intense first:
d/Å, 2θ (°), intensity
2.929, 30.5, 1000
1.691, 54.2, 391
1.107, 88.3, 203
2.071, 43.7, 186
1.310, 72.1, 166
1.464, 63.5, 121
1.196, 80.3, 42
4.783, 18.6, 8

Structural model:
Cell: 5.8578 5.8578 5.8578 Å, 60.00 60.00 60.00°
Positions (direct):
Ba 0.0000 0.0000 0.0000
Pm 0.7500 0.7500 0.7500
Pr 0.5000 0.5000 0.5000
In 0.2500 0.2500 0.2500